No. 1
Cs2SnBr6: theoretical PXRD pattern (Cu Kα (weighted mean of Kα1 and Kα2)), based on a structure optimized by DFT (GGA-PBE).
Peak positions follow from Bragg's law for the DFT cell and can differ from measured ones.

Cell and atoms:
Unit cell a=7.9446 b=7.9446 c=7.9446 alpha=60.00 beta=60.00 gamma=60.00
Atoms (fractional coordinates):
Cs  0.2500  0.2500  0.2500
Cs  0.7500  0.7500  0.7500
Sn  0.0000  0.0000  0.0000
Br  0.2368  0.2368  0.7632
Br  0.2368  0.7632  0.2368
Br  0.2368  0.7632  0.7632
Br  0.7632  0.2368  0.2368
Br  0.7632  0.2368  0.7632
Br  0.7632  0.7632  0.2368

Top 6 peaks for 15 to 90 degrees two-theta, in order of rising 2θ:
2θ (°)  intensity
22.38  30
27.50  100
31.86  97
45.68  69
54.15  40
75.72  29

=====

No. 2
CsSn2Br5: theoretical PXRD pattern (Cu Kα (weighted mean of Kα1 and Kα2)), based on a structure optimized by DFT (GGA-PBE).
Peak positions follow from Bragg's law for the DFT cell and can differ from measured ones.

Cell and atoms:
Unit cell a=10.1008 b=10.1008 c=10.1008 alpha=129.49 beta=129.49 gamma=74.22
Atoms (fractional coordinates):
Cs  0.2500  0.2500  0.0000
Cs  0.7500  0.7500  0.0000
Sn  0.1849  0.6849  0.8698
Sn  0.3151  0.1849  0.5000
Sn  0.6849  0.8151  0.5000
Sn  0.8151  0.3151  0.1302
Br  0.0000  0.0000  0.0000
Br  0.0348  0.2164  0.5000
Br  0.2164  0.7164  0.1816
Br  0.2836  0.4652  0.5000
Br  0.4652  0.9652  0.1816
Br  0.5000  0.5000  0.0000
Br  0.5348  0.0348  0.8184
Br  0.7164  0.5348  0.5000
Br  0.7836  0.2836  0.8184
Br  0.9652  0.7836  0.5000

Top 6 peaks for 15 to 90 degrees two-theta, in order of rising 2θ:
2θ (°)  intensity
23.41  32
26.53  39
28.51  100
32.86  69
36.34  54
56.85  32

=====

No. 3
CsSrBr3: theoretical PXRD pattern (Cu Kα (weighted mean of Kα1 and Kα2)), based on a structure optimized by DFT (GGA-PBE).
Peak positions follow from Bragg's law for the DFT cell and can differ from measured ones.

Cell and atoms:
Unit cell a=8.6190 b=11.8755 c=8.2543 alpha=90.00 beta=90.00 gamma=90.00
Atoms (fractional coordinates):
Cs  0.0630  0.2500  0.0200
Cs  0.4370  0.7500  0.5200
Cs  0.5630  0.2500  0.4800
Cs  0.9370  0.7500  0.9800
Sr  0.0000  0.0000  0.5000
Sr  0.0000  0.5000  0.5000
Sr  0.5000  0.0000  0.0000
Sr  0.5000  0.5000  0.0000
Br  0.0231  0.7500  0.4157
Br  0.2074  0.5431  0.7972
Br  0.2074  0.9569  0.7972
Br  0.2926  0.0431  0.2972
Br  0.2926  0.4569  0.2972
Br  0.4769  0.2500  0.9157
Br  0.5231  0.7500  0.0843
Br  0.7074  0.5431  0.7028
Br  0.7074  0.9569  0.7028
Br  0.7926  0.0431  0.2028
Br  0.7926  0.4569  0.2028
Br  0.9769  0.2500  0.5843

Top 6 peaks for 15 to 90 degrees two-theta, in order of rising 2θ:
2θ (°)  intensity
21.12  68
25.54  57
26.30  48
29.98  100
30.10  64
37.51  52

=====

No. 4
CsSrBr3: theoretical PXRD pattern (Cu Kα (weighted mean of Kα1 and Kα2)), based on a structure optimized by DFT (GGA-PBE).
Peak positions follow from Bragg's law for the DFT cell and can differ from measured ones.

Cell and atoms:
Unit cell a=8.5463 b=8.5414 c=6.0340 alpha=90.00 beta=90.02 gamma=90.00
Atoms (fractional coordinates):
Cs  0.0000  0.0000  0.0000
Cs  0.5000  0.5000  0.0000
Sr  0.4994  0.0000  0.5125
Sr  0.9994  0.5000  0.5125
Br  0.0124  0.5000  0.0124
Br  0.2503  0.2495  0.5112
Br  0.2503  0.7505  0.5112
Br  0.5124  0.0000  0.0124
Br  0.7503  0.2505  0.5112
Br  0.7503  0.7495  0.5112

Top 6 peaks for 15 to 90 degrees two-theta, in order of rising 2θ:
2θ (°)  intensity
20.80  41
25.55  75
29.58  100
42.33  73
50.10  34
69.62  27